Calculated powder diffractogram of Pr5CdNi2 for copper Kα, from a crystal structure in Alexandria, relaxed with GGA-PBE.
Intensities are scaled so that the largest is 100.

Most intense lines, 10° ≤ 2θ ≤ 90°, sorted by position:
| (hkl) | Position (°2θ) | d_spacing | I_rel |
| --- | --- | --- | --- |
| 2 1 1 | 25.52 | 3.490 | 32 |
| 1 1 4 | 30.70 | 2.913 | 31 |
| 2 1 3 | 31.73 | 2.820 | 100 |
| 2 0 4 | 34.57 | 2.595 | 49 |
| 3 1 0 | 35.14 | 2.554 | 71 |
| 3 3 4 | 55.37 | 1.659 | 28 |

Cell and atoms:
Cell lengths 8.077, 8.077, 13.545 Å; angles 90.00, 90.00, 90.00 degrees
Space group I4/mcm (No. 140)
Inequivalent atoms, fractional coordinates:
Pr1 0.000 0.000 0.000 (multiplicity 4)
Pr2 0.160 0.340 0.136 (multiplicity 16)
Cd1 0.000 0.000 0.250 (multiplicity 4)
Ni1 0.118 0.382 0.500 (multiplicity 8)